The following is a simulated powder X-ray diffraction pattern of TbMgCo2Ge2. It was derived from a structure optimized by DFT (PBE), using Cu Kα (weighted mean of Kα1 and Kα2).
Intensities are scaled so that the largest is 100.

Most intense lines, 10 to 90 degrees two-theta, by intensity:
- 36.9 deg, I 100
- 28.3 deg, I 93
- 43.8 deg, I 84
- 61.4 deg, I 27
- 58.6 deg, I 26
- 76.0 deg, I 23
- 48.3 deg, I 18
- 53.0 deg, I 16
- 40.7 deg, I 16
- 71.2 deg, I 13

Crystal structure
Cell lengths 4.1304, 4.1304, 6.6440 Å; angles 90.00, 90.00, 120.00 degrees
Atoms (fractional coordinates):
Tb: 0.0000 0.0000 0.0000
Mg: 0.0000 0.0000 0.5000
Co: 0.3333 0.6667 0.6419
Co: 0.6667 0.3333 0.3581
Ge: 0.3333 0.6667 0.2740
Ge: 0.6667 0.3333 0.7260

=====

The following is a simulated powder X-ray diffraction pattern of Mn4Co11Ge5. It was derived from a structure optimized by DFT (PBE), using Cu Kα (weighted mean of Kα1 and Kα2).
Intensities are scaled so that the largest is 100.

Most intense lines, 10 to 90 degrees two-theta, by intensity:
- 44.8 deg, I 100
- 82.6 deg, I 22
- 65.2 deg, I 15
- 82.5 deg, I 7
- 27.0 deg, I 1
- 53.1 deg, I 1

Crystal structure
Cell lengths 16.7005, 16.7005, 16.7005 Å; angles 13.91, 13.91, 13.91 degrees
Atoms (fractional coordinates):
Mn: 0.1003 0.1003 0.1003
Mn: 0.2999 0.2999 0.2999
Mn: 0.7001 0.7001 0.7001
Mn: 0.8997 0.8997 0.8997
Co: 0.0501 0.0501 0.0501
Co: 0.1506 0.1506 0.1506
Co: 0.2498 0.2498 0.2498
Co: 0.3501 0.3501 0.3501
Co: 0.4506 0.4506 0.4506
Co: 0.5000 0.5000 0.5000
Co: 0.5494 0.5494 0.5494
Co: 0.6499 0.6499 0.6499
Co: 0.7502 0.7502 0.7502
Co: 0.8494 0.8494 0.8494
Co: 0.9499 0.9499 0.9499
Ge: 0.0000 0.0000 0.0000
Ge: 0.1999 0.1999 0.1999
Ge: 0.4002 0.4002 0.4002
Ge: 0.5998 0.5998 0.5998
Ge: 0.8001 0.8001 0.8001

=====

The following is a simulated powder X-ray diffraction pattern of MnCo3Ge. It was derived from a structure optimized by DFT (PBE), using Cu Kα (weighted mean of Kα1 and Kα2).
Intensities are scaled so that the largest is 100.

Most intense lines, 10 to 90 degrees two-theta, by intensity:
- 45.3 deg, I 100
- 46.0 deg, I 78
- 40.6 deg, I 57
- 42.6 deg, I 55
- 44.1 deg, I 23
- 37.1 deg, I 19
- 43.1 deg, I 16
- 18.3 deg, I 16
- 82.9 deg, I 16
- 72.5 deg, I 14

Crystal structure
Cell lengths 7.0648, 5.2145, 6.6751 Å; angles 90.00, 90.00, 90.00 degrees
Atoms (fractional coordinates):
Mn: 0.0000 0.0000 0.0000
Mn: 0.0000 0.5000 0.0000
Mn: 0.5000 0.0000 0.5000
Mn: 0.5000 0.5000 0.5000
Co: 0.1300 0.0034 0.3705
Co: 0.1300 0.4966 0.3705
Co: 0.1571 0.2500 0.6870
Co: 0.3429 0.7500 0.1870
Co: 0.3700 0.5034 0.8705
Co: 0.3700 0.9966 0.8705
Co: 0.6300 0.0034 0.1295
Co: 0.6300 0.4966 0.1295
Co: 0.6571 0.2500 0.8130
Co: 0.8429 0.7500 0.3130
Co: 0.8700 0.5034 0.6295
Co: 0.8700 0.9966 0.6295
Ge: 0.1627 0.7500 0.6685
Ge: 0.3373 0.2500 0.1685
Ge: 0.6627 0.7500 0.8315
Ge: 0.8373 0.2500 0.3315

=====

The following is a simulated powder X-ray diffraction pattern of Mn4CoNi3Ge4. It was derived from a structure optimized by DFT (PBE), using Cu Kα (weighted mean of Kα1 and Kα2).
Intensities are scaled so that the largest is 100.

Most intense lines, 10 to 90 degrees two-theta, by intensity:
- 40.9 deg, I 100
- 41.0 deg, I 94
- 45.5 deg, I 83
- 49.4 deg, I 78
- 38.9 deg, I 58
- 38.3 deg, I 44
- 38.2 deg, I 42
- 48.1 deg, I 35
- 48.2 deg, I 33
- 52.7 deg, I 24

Crystal structure
Cell lengths 5.9562, 3.6866, 7.1107 Å; angles 90.00, 90.30, 90.00 degrees
Atoms (fractional coordinates):
Mn: 0.0000 0.0000 0.0000
Mn: 0.0683 0.5000 0.6359
Mn: 0.4974 0.0000 0.1385
Mn: 0.5695 0.5000 0.4968
Co: 0.1805 0.5000 0.2590
Ni: 0.3882 0.0000 0.7583
Ni: 0.6769 0.5000 0.8773
Ni: 0.8873 0.0000 0.3785
Ge: 0.2805 0.0000 0.4412
Ge: 0.2845 0.5000 0.9453
Ge: 0.7815 0.0000 0.6931
Ge: 0.7901 0.5000 0.1920

=====

The following is a simulated powder X-ray diffraction pattern of Mn4Co4Si3Ge. It was derived from a structure optimized by DFT (PBE), using Cu Kα (weighted mean of Kα1 and Kα2).
Intensities are scaled so that the largest is 100.

Most intense lines, 10 to 90 degrees two-theta, by intensity:
- 42.0 deg, I 100
- 46.5 deg, I 85
- 49.5 deg, I 82
- 41.9 deg, I 77
- 39.0 deg, I 65
- 39.8 deg, I 64
- 39.1 deg, I 63
- 49.3 deg, I 41
- 49.4 deg, I 29
- 42.3 deg, I 28

Crystal structure
Cell lengths 5.7473, 3.6796, 6.9214 Å; angles 90.00, 90.34, 90.00 degrees
Atoms (fractional coordinates):
Mn: 0.0000 0.0000 0.0000
Mn: 0.0538 0.5000 0.3608
Mn: 0.5030 0.0000 0.8723
Mn: 0.5664 0.5000 0.4970
Co: 0.1807 0.5000 0.7487
Co: 0.3726 0.0000 0.2354
Co: 0.6859 0.5000 0.1232
Co: 0.8620 0.0000 0.6247
Si: 0.2945 0.5000 0.0591
Si: 0.7625 0.0000 0.3045
Si: 0.7938 0.5000 0.8091
Ge: 0.2655 0.0000 0.5586

=====

The following is a simulated powder X-ray diffraction pattern of Mn2Co2SiGe. It was derived from a structure optimized by DFT (PBE), using Cu Kα (weighted mean of Kα1 and Kα2).
Intensities are scaled so that the largest is 100.

Most intense lines, 10 to 90 degrees two-theta, by intensity:
- 41.7 deg, I 100
- 38.7 deg, I 78
- 49.1 deg, I 77
- 46.0 deg, I 54
- 39.5 deg, I 37
- 48.8 deg, I 34
- 41.9 deg, I 25
- 40.6 deg, I 20
- 78.3 deg, I 18
- 54.4 deg, I 16

Crystal structure
Cell lengths 3.7122, 6.9783, 5.7745 Å; angles 90.00, 90.00, 90.00 degrees
Atoms (fractional coordinates):
Mn: 0.0000 0.0607 0.0000
Mn: 0.0000 0.9393 0.5000
Mn: 0.5000 0.4302 0.9400
Mn: 0.5000 0.5698 0.4400
Co: 0.0000 0.3013 0.6404
Co: 0.0000 0.6987 0.1404
Co: 0.5000 0.1840 0.3227
Co: 0.5000 0.8160 0.8227
Si: 0.5000 0.1239 0.7095
Si: 0.5000 0.8761 0.2095
Ge: 0.0000 0.3718 0.2376
Ge: 0.0000 0.6282 0.7376